Entry 1:
Diffraction record for Li5V2Ni3O10. The X-ray powder pattern is computed, not measured: it uses a GGA+U-relaxed structure and Cu Kα.

Cell and atoms:
a = 5.102 Å, b = 5.112 Å, c = 7.770 Å
α = 71.14°, β = 71.58°, γ = 79.59°
Fractional positions:
Li  0.000  0.000  0.000
Li  0.096  0.513  0.296
Li  0.193  0.016  0.597
Li  0.387  0.004  0.197
Li  0.811  0.004  0.401
V  0.494  0.522  0.496
V  0.697  0.490  0.107
Ni  0.293  0.515  0.898
Ni  0.594  0.009  0.798
Ni  0.900  0.507  0.696
O  0.017  0.279  0.139
O  0.175  0.740  0.454
O  0.260  0.274  0.736
O  0.378  0.745  0.045
O  0.467  0.287  0.331
O  0.547  0.750  0.644
O  0.645  0.275  0.958
O  0.733  0.727  0.248
O  0.815  0.273  0.550
O  0.922  0.741  0.869

Most intense lines, 10 to 90 degrees two-theta, most intense first:
two_theta	d [Å]	I/Imax
18.41	4.820	100
12.53	7.066	83
42.87	2.110	59
43.52	2.080	55
43.84	2.065	53
63.48	1.465	29

***

Entry 2:
Diffraction record for Fe2P3O13. The X-ray powder pattern is computed, not measured: it uses a GGA+U-relaxed structure and Cu Kα.

Cell and atoms:
a = 7.296 Å, b = 11.214 Å, c = 8.365 Å
α = 90.00°, β = 109.81°, γ = 90.00°
Fractional positions:
Fe  0.049  0.000  0.383
Fe  0.398  0.757  0.015
Fe  0.602  0.257  0.985
Fe  0.951  0.500  0.617
P  0.096  0.764  0.596
P  0.355  0.490  0.959
P  0.381  0.974  0.237
P  0.619  0.474  0.763
P  0.645  0.990  0.041
P  0.904  0.264  0.404
O  0.010  0.149  0.483
O  0.011  0.380  0.468
O  0.167  0.461  0.813
O  0.201  0.751  0.784
O  0.222  0.054  0.264
O  0.283  0.865  0.132
O  0.285  0.773  0.512
O  0.325  0.891  0.506
O  0.331  0.593  0.069
O  0.356  0.216  0.812
O  0.448  0.379  0.059
O  0.452  0.447  0.596
O  0.491  0.046  0.129
O  0.509  0.546  0.871
O  0.548  0.947  0.404
O  0.552  0.879  0.941
O  0.644  0.716  0.188
O  0.669  0.093  0.931
O  0.675  0.391  0.494
O  0.715  0.273  0.488
O  0.717  0.365  0.868
O  0.778  0.554  0.736
O  0.799  0.251  0.216
O  0.833  0.961  0.187
O  0.989  0.880  0.532
O  0.990  0.649  0.517

Most intense lines, 10 to 90 degrees two-theta, most intense first:
two_theta	d [Å]	I/Imax
13.75	6.442	100
13.95	6.347	86
19.84	4.476	48
15.13	5.854	45
16.05	5.524	27
29.25	3.053	22

***

Entry 3:
Diffraction record for Li9Mn2Co5O16. The X-ray powder pattern is computed, not measured: it uses a GGA+U-relaxed structure and Cu Kα.

Cell and atoms:
a = 6.519 Å, b = 6.519 Å, c = 8.501 Å
α = 90.24°, β = 90.24°, γ = 52.71°
Fractional positions:
Li  0.000  0.000  0.000
Li  0.124  0.628  0.240
Li  0.246  0.252  0.000
Li  0.372  0.876  0.760
Li  0.497  0.503  0.500
Li  0.625  0.129  0.243
Li  0.748  0.754  0.000
Li  0.871  0.375  0.757
Li  0.998  0.002  0.500
Mn  0.622  0.132  0.752
Mn  0.868  0.378  0.248
Co  0.121  0.636  0.758
Co  0.246  0.256  0.498
Co  0.364  0.879  0.242
Co  0.499  0.501  0.000
Co  0.744  0.754  0.502
O  0.006  0.018  0.254
O  0.108  0.618  0.502
O  0.153  0.617  0.990
O  0.228  0.256  0.252
O  0.257  0.263  0.744
O  0.382  0.892  0.498
O  0.383  0.847  0.010
O  0.503  0.483  0.743
O  0.517  0.497  0.257
O  0.617  0.147  0.978
O  0.618  0.124  0.520
O  0.737  0.743  0.256
O  0.744  0.772  0.748
O  0.853  0.383  0.022
O  0.876  0.382  0.480
O  0.982  0.994  0.746

Most intense lines, 10 to 90 degrees two-theta, most intense first:
two_theta	d [Å]	I/Imax
18.39	4.824	100
44.05	2.056	52
42.54	2.125	29
36.24	2.479	26
63.02	1.475	15
35.27	2.545	15

***

Repeat the third record exactly.
Diffraction record for Li9Mn2Co5O16. The X-ray powder pattern is computed, not measured: it uses a GGA+U-relaxed structure and Cu Kα.

Cell and atoms:
a = 6.519 Å, b = 6.519 Å, c = 8.501 Å
α = 90.24°, β = 90.24°, γ = 52.71°
Fractional positions:
Li  0.000  0.000  0.000
Li  0.124  0.628  0.240
Li  0.246  0.252  0.000
Li  0.372  0.876  0.760
Li  0.497  0.503  0.500
Li  0.625  0.129  0.243
Li  0.748  0.754  0.000
Li  0.871  0.375  0.757
Li  0.998  0.002  0.500
Mn  0.622  0.132  0.752
Mn  0.868  0.378  0.248
Co  0.121  0.636  0.758
Co  0.246  0.256  0.498
Co  0.364  0.879  0.242
Co  0.499  0.501  0.000
Co  0.744  0.754  0.502
O  0.006  0.018  0.254
O  0.108  0.618  0.502
O  0.153  0.617  0.990
O  0.228  0.256  0.252
O  0.257  0.263  0.744
O  0.382  0.892  0.498
O  0.383  0.847  0.010
O  0.503  0.483  0.743
O  0.517  0.497  0.257
O  0.617  0.147  0.978
O  0.618  0.124  0.520
O  0.737  0.743  0.256
O  0.744  0.772  0.748
O  0.853  0.383  0.022
O  0.876  0.382  0.480
O  0.982  0.994  0.746

Most intense lines, 10 to 90 degrees two-theta, most intense first:
two_theta	d [Å]	I/Imax
18.39	4.824	100
44.05	2.056	52
42.54	2.125	29
36.24	2.479	26
63.02	1.475	15
35.27	2.545	15